No. 1
Structure and computed XRD peak list of Rb2AgBiBr6 (a GGA-PBE-relaxed structure; Cu Kα (weighted mean of Kα1 and Kα2)).
Neutral-atom scattering factors, no anomalous dispersion.

Atomic structure:
Lattice parameters (Å, degrees): 11.416 11.416 11.416 90.00 90.00 90.00
Space group Fm-3m (No. 225)
Symmetry-distinct sites (fractional):
Rb1 0.250 0.250 0.250 [8 per cell]
Ag1 0.000 0.000 0.000 [4 per cell]
Bi1 0.000 0.000 0.500 [4 per cell]
Br1 0.000 0.000 0.248 [24 per cell]

Principal peaks in the range 15° ≤ 2θ ≤ 90°, in order of falling intensity:
| 2theta | I_rel | hkl |
| --- | --- | --- |
| 31.34 | 100 | 4 0 0 |
| 44.92 | 73 | 4 4 0 |
| 15.52 | 53 | 2 0 0 |
| 22.02 | 53 | 2 2 0 |
| 74.31 | 33 | 8 4 0 |
| 35.16 | 29 | 4 2 0 |
| 55.79 | 25 | 4 4 4 |
| 38.64 | 25 | 4 2 2 |
| 27.06 | 25 | 2 2 2 |
| 82.85 | 25 | 8 4 4 |

=====

No. 2
Structure and computed XRD peak list of CaAgBi (a GGA-PBE-relaxed structure; Cu Kα (weighted mean of Kα1 and Kα2)).
Neutral-atom scattering factors, no anomalous dispersion.

Atomic structure:
Lattice parameters (Å, degrees): 4.9065 4.9065 7.8429 90.00 90.00 120.00
Space group P6_3mc (No. 186)
Symmetry-distinct sites (fractional):
Ca1 0.0000 0.0000 0.0000 [2 per cell]
Ag1 0.3333 0.6667 0.1848 [2 per cell]
Bi1 0.3333 0.6667 0.7841 [2 per cell]

Principal peaks in the range 15° ≤ 2θ ≤ 90°, in order of falling intensity:
| 2theta | I_rel | hkl |
| --- | --- | --- |
| 36.63 | 100 | 1 1 0 |
| 31.03 | 73 | 1 0 2 |
| 40.51 | 60 | 1 0 3 |
| 23.82 | 59 | 1 0 1 |
| 43.51 | 48 | 1 1 2 |
| 22.68 | 42 | 0 0 2 |
| 20.91 | 41 | 1 0 0 |
| 68.58 | 26 | 2 1 3 |
| 63.19 | 24 | 1 0 5 |
| 55.75 | 24 | 2 0 3 |

=====

No. 3
Structure and computed XRD peak list of CaAgBi (a GGA-PBE-relaxed structure; Cu Kα (weighted mean of Kα1 and Kα2)).
Neutral-atom scattering factors, no anomalous dispersion.

Atomic structure:
Lattice parameters (Å, degrees): 4.9173 4.9173 8.0580 90.00 90.00 120.00
Space group P6_3/mmc (No. 194)
Symmetry-distinct sites (fractional):
Ca1 0.0000 0.0000 0.0000 [2 per cell]
Ag1 0.3333 0.6667 0.2500 [2 per cell]
Bi1 0.3333 0.6667 0.7500 [2 per cell]

Principal peaks in the range 15° ≤ 2θ ≤ 90°, in order of falling intensity:
| 2theta | I_rel | hkl |
| --- | --- | --- |
| 30.54 | 100 | 1 0 2 |
| 36.55 | 99 | 1 1 0 |
| 43.10 | 74 | 1 1 2 |
| 22.06 | 68 | 0 0 2 |
| 59.30 | 48 | 1 1 4 |
| 20.86 | 41 | 1 0 0 |
| 23.63 | 29 | 1 0 1 |
| 48.35 | 27 | 2 0 2 |
| 62.10 | 25 | 2 1 2 |
| 83.27 | 19 | 3 0 4 |

=====

> Which formula does entry 2 have?

CaAgBi